(1)
Computed X-ray diffraction stick pattern of GdYMg3Co2 for copper Kα, from a crystal structure in OQMD, relaxed with PBE.

Largest 8 diffraction maxima, in order of rising 2θ, 10° ≤ 2θ ≤ 90°:
2θ (°)  I (rel.)
26.7  30
33.6  68
35.0  84
35.8  100
38.3  28
39.9  66
45.8  29
60.5  33

Cell and atoms:
```
GdYMg3Co2
1.0
3.784 0.000 0.000
0.000 1.906 10.439
0.000 -1.906 10.439
Gd Y Mg Co
1 1 3 2
direct
0.000 0.000 0.000
0.000 0.649 0.649
0.000 0.824 0.824
0.500 0.243 0.243
0.500 0.405 0.405
0.500 0.105 0.105
0.500 0.543 0.543
```



(2)
Computed X-ray diffraction stick pattern of K2AgI3 for copper Kα, from a crystal structure in OQMD, relaxed with PBE.

Largest 8 diffraction maxima, in order of rising 2θ, 10° ≤ 2θ ≤ 90°:
2θ (°)  I (rel.)
12.5  57
18.9  71
25.8  100
27.0  98
27.3  80
30.6  80
37.2  85
42.7  62

Cell and atoms:
```
K2AgI3
1.0
10.156 0.000 0.000
0.000 4.833 0.000
0.000 0.000 19.712
K Ag I
8 4 12
direct
0.078 0.250 0.213
0.249 0.250 0.960
0.251 0.750 0.460
0.422 0.750 0.713
0.578 0.250 0.287
0.749 0.250 0.540
0.751 0.750 0.040
0.922 0.750 0.787
0.129 0.250 0.635
0.371 0.750 0.135
0.629 0.250 0.865
0.871 0.750 0.365
0.010 0.250 0.401
0.119 0.750 0.071
0.188 0.250 0.778
0.312 0.750 0.278
0.381 0.250 0.571
0.490 0.750 0.901
0.510 0.250 0.099
0.619 0.750 0.429
0.688 0.250 0.722
0.812 0.750 0.222
0.881 0.250 0.929
0.990 0.750 0.599
```



(3)
Computed X-ray diffraction stick pattern of Ag2H6Pd for copper Kα, from a crystal structure in OQMD, relaxed with PBE.

Largest 8 diffraction maxima, in order of rising 2θ, 10° ≤ 2θ ≤ 90°:
2θ (°)  I (rel.)
22.7  27
26.3  15
37.5  100
44.3  13
54.1  17
59.4  5
67.6  33
80.0  11

Cell and atoms:
```
Ag2H6Pd
1.0
0.000 3.393 3.393
3.393 0.000 3.393
3.393 3.393 0.000
Ag H Pd
2 6 1
direct
0.250 0.250 0.250
0.750 0.750 0.750
0.245 0.245 0.755
0.245 0.755 0.245
0.245 0.755 0.755
0.755 0.245 0.245
0.755 0.245 0.755
0.755 0.755 0.245
0.000 0.000 0.000
```



(4)
Computed X-ray diffraction stick pattern of Pr3Er3NiTe2 for copper Kα, from a crystal structure in OQMD, relaxed with PBE.

Largest 8 diffraction maxima, in order of rising 2θ, 10° ≤ 2θ ≤ 90°:
2θ (°)  I (rel.)
30.6  100
32.3  82
33.0  71
36.8  26
39.5  38
44.9  22
56.4  34
59.6  28

Cell and atoms:
```
Pr3Er3NiTe2
1.0
8.461 0.000 0.000
-4.230 7.327 0.000
0.000 0.000 4.036
Pr Er Ni Te
3 3 1 2
direct
0.000 0.404 0.000
0.404 0.000 0.000
0.596 0.596 0.000
0.000 0.767 0.500
0.233 0.233 0.500
0.767 0.000 0.500
0.000 0.000 0.000
0.333 0.667 0.500
0.667 0.333 0.500
```



(5)
Computed X-ray diffraction stick pattern of Cu7Ag3 for copper Kα, from a crystal structure in OQMD, relaxed with PBE.

Largest 8 diffraction maxima, in order of rising 2θ, 10° ≤ 2θ ≤ 90°:
2θ (°)  I (rel.)
35.7  12
41.3  100
46.1  42
52.0  8
67.2  12
72.0  11
82.1  24
89.8  6

Cell and atoms:
```
Cu7Ag3
1.0
2.785 0.000 0.000
0.000 2.785 0.000
0.000 0.000 17.598
Cu Ag
7 3
direct
0.000 0.000 0.000
0.000 0.000 0.176
0.000 0.000 0.394
0.000 0.000 0.571
0.500 0.500 0.088
0.500 0.500 0.482
0.500 0.500 0.659
0.000 0.000 0.767
0.500 0.500 0.285
0.500 0.500 0.893
```



(6)
Computed X-ray diffraction stick pattern of Ho5B2O6F9 for copper Kα, from a crystal structure in OQMD, relaxed with PBE.

Largest 8 diffraction maxima, in order of rising 2θ, 10° ≤ 2θ ≤ 90°:
2θ (°)  I (rel.)
22.3  42
25.3  39
27.0  100
27.6  67
28.1  37
31.7  79
44.9  44
51.4  61

Cell and atoms:
```
Ho5B2O6F9
1.0
10.051 -3.011 0.000
10.051 3.011 0.000
-1.441 0.000 8.049
Ho B O F
10 4 12 18
direct
0.072 0.315 0.319
0.109 0.891 0.750
0.278 0.502 0.096
0.315 0.072 0.819
0.498 0.722 0.404
0.502 0.278 0.596
0.685 0.928 0.181
0.722 0.498 0.904
0.891 0.109 0.250
0.928 0.685 0.681
0.016 0.206 0.562
0.206 0.016 0.062
0.794 0.984 0.938
0.984 0.794 0.438
0.010 0.805 0.284
0.098 0.221 0.039
0.149 0.669 0.566
0.195 0.990 0.216
0.221 0.098 0.539
0.331 0.851 0.934
0.669 0.149 0.066
0.779 0.902 0.461
0.805 0.010 0.784
0.851 0.331 0.434
0.902 0.779 0.961
0.990 0.195 0.716
0.002 0.551 0.213
0.151 0.787 0.015
0.213 0.849 0.485
0.216 0.361 0.519
0.295 0.442 0.817
0.361 0.216 0.019
0.442 0.295 0.317
0.449 0.998 0.287
0.488 0.512 0.750
0.512 0.488 0.250
0.551 0.002 0.713
0.558 0.705 0.683
0.639 0.784 0.981
0.705 0.558 0.183
0.784 0.639 0.481
0.787 0.151 0.515
0.849 0.213 0.985
0.998 0.449 0.787
```



(7)
Computed X-ray diffraction stick pattern of AlHgPO for copper Kα, from a crystal structure in OQMD, relaxed with PBE.

Largest 8 diffraction maxima, in order of rising 2θ, 10° ≤ 2θ ≤ 90°:
2θ (°)  I (rel.)
20.5  89
22.5  74
26.2  64
30.6  100
30.9  63
31.5  55
38.6  47
39.1  44

Cell and atoms:
```
AlHgPO
1.0
3.945 0.000 0.000
0.000 6.736 0.000
0.000 0.000 5.676
Al Hg P O
2 2 2 2
direct
0.000 0.119 0.000
0.000 0.881 0.500
0.500 0.336 0.453
0.500 0.664 0.953
0.500 0.292 0.891
0.500 0.708 0.391
0.000 0.092 0.311
0.000 0.908 0.811
```



Copy entry 7 word for word.
Computed X-ray diffraction stick pattern of AlHgPO for copper Kα, from a crystal structure in OQMD, relaxed with PBE.

Largest 8 diffraction maxima, in order of rising 2θ, 10° ≤ 2θ ≤ 90°:
2θ (°)  I (rel.)
20.5  89
22.5  74
26.2  64
30.6  100
30.9  63
31.5  55
38.6  47
39.1  44

Cell and atoms:
```
AlHgPO
1.0
3.945 0.000 0.000
0.000 6.736 0.000
0.000 0.000 5.676
Al Hg P O
2 2 2 2
direct
0.000 0.119 0.000
0.000 0.881 0.500
0.500 0.336 0.453
0.500 0.664 0.953
0.500 0.292 0.891
0.500 0.708 0.391
0.000 0.092 0.311
0.000 0.908 0.811
```